Record 1
MnGeO3: computed X-ray powder pattern (Cu Kα, 1.54184 Å), based on DFT lattice parameters and positions (PBE+U).

```
data_MnGeO3
_symmetry_space_group_name_H-M 'C 1 2/c 1'
_symmetry_Int_Tables_number 15
_cell_length_a 10.038
_cell_length_b 9.416
_cell_length_c 5.355
_cell_angle_alpha 90.00
_cell_angle_beta 101.85
_cell_angle_gamma 90.00
loop_
_symmetry_equiv_pos_as_xyz
'x,y,z'
'-x,-y,-z'
'-x,y,-z+1/2'
'x,-y,z+1/2'
'x+1/2,y+1/2,z'
'-x+1/2,-y+1/2,-z'
'-x+1/2,y+1/2,-z+1/2'
'x+1/2,-y+1/2,z+1/2'
loop_
_atom_site_label
_atom_site_type_symbol
_atom_site_fract_x
_atom_site_fract_y
_atom_site_fract_z
_atom_site_occupancy
Mn1 Mn 0.000 0.096 0.250 1
Mn2 Mn 0.000 0.278 0.750 1
Ge1 Ge 0.203 0.408 0.283 1
O1 O 0.118 0.092 0.641 1
O2 O 0.119 0.263 0.123 1
O3 O 0.144 0.438 0.581 1
```

Most intense lines, 2θ from 10° to 90°, low angle first:
- 2θ = 26.22°, rel. 39, (2 2 0)
- 2θ = 28.87°, rel. 82, (3 1 0)
- 2θ = 29.22°, rel. 100, (2 2 -1)
- 2θ = 33.40°, rel. 93, (2 2 1)
- 2θ = 33.57°, rel. 82, (1 3 -1)
- 2θ = 34.22°, rel. 68, (0 0 2)
- 2θ = 54.86°, rel. 34, (5 3 -1)
- 2θ = 56.36°, rel. 34, (4 0 2)
- 2θ = 59.60°, rel. 39, (1 3 -3)
- 2θ = 61.26°, rel. 43, (5 3 1)



Record 2
Mn2GeO2: computed X-ray powder pattern (Cu Kα, 1.54184 Å), based on DFT lattice parameters and positions (PBE+U).

```
data_Mn2GeO2
_symmetry_space_group_name_H-M 'P 4/m m m'
_symmetry_Int_Tables_number 123
_symmetry_space_group_name_Hall '-P 4 2'
_cell_length_a 3.747
_cell_length_b 3.747
_cell_length_c 5.817
_cell_angle_alpha 90.00
_cell_angle_beta 90.00
_cell_angle_gamma 90.00
loop_
_atom_site_label
_atom_site_type_symbol
_atom_site_fract_x
_atom_site_fract_y
_atom_site_fract_z
_atom_site_occupancy
Mn1 Mn 0.000 0.000 0.000 1
Mn2 Mn 0.000 0.000 0.500 1
Ge1 Ge 0.500 0.500 0.000 1
O1 O 0.000 0.500 0.500 1
```

Most intense lines, 2θ from 10° to 90°, low angle first:
- 2θ = 28.33°, rel. 57, (1 0 1)
- 2θ = 30.74°, rel. 100, (0 0 2)
- 2θ = 33.83°, rel. 74, (1 1 0)
- 2θ = 37.29°, rel. 56, (1 1 1)
- 2θ = 46.36°, rel. 61, (1 1 2)
- 2θ = 48.59°, rel. 51, (2 0 0)
- 2θ = 58.61°, rel. 55, (2 0 2)
- 2θ = 79.50°, rel. 21, (2 2 2)
- 2θ = 84.30°, rel. 18, (2 0 4)
- 2θ = 89.25°, rel. 19, (3 1 2)



Record 3
PaMnGe2O8: computed X-ray powder pattern (Cu Kα, 1.54184 Å), based on DFT lattice parameters and positions (PBE+U).

```
data_PaMnGe2O8
_symmetry_space_group_name_H-M 'I -4 m 2'
_symmetry_Int_Tables_number 119
_symmetry_space_group_name_Hall 'I -4 -2'
_cell_length_a 6.799
_cell_length_b 6.799
_cell_length_c 6.594
_cell_angle_alpha 90.00
_cell_angle_beta 90.00
_cell_angle_gamma 90.00
loop_
_atom_site_label
_atom_site_type_symbol
_atom_site_fract_x
_atom_site_fract_y
_atom_site_fract_z
_atom_site_occupancy
Pa1 Pa 0.000 0.000 0.000 1
Mn1 Mn 0.000 0.500 0.250 1
Ge1 Ge 0.000 0.000 0.500 1
Ge2 Ge 0.000 0.500 0.750 1
O1 O 0.000 0.192 0.313 1
O2 O 0.000 0.310 0.929 1
```

Most intense lines, 2θ from 10° to 90°, low angle first:
- 2θ = 18.45°, rel. 30, (1 1 0)
- 2θ = 18.75°, rel. 49, (1 0 1)
- 2θ = 26.21°, rel. 100, (2 0 0)
- 2θ = 32.42°, rel. 19, (2 1 1)
- 2θ = 32.94°, rel. 87, (1 1 2)
- 2θ = 37.41°, rel. 22, (2 2 0)
- 2θ = 50.69°, rel. 66, (3 1 2)
- 2θ = 53.94°, rel. 16, (4 0 0)
- 2θ = 62.63°, rel. 16, (2 0 4)
- 2θ = 64.67°, rel. 19, (3 3 2)



Record 4
MnGe2PbO6: computed X-ray powder pattern (Cu Kα, 1.54184 Å), based on DFT lattice parameters and positions (PBE+U).

```
data_MnGe2PbO6
_symmetry_space_group_name_H-M 'C 1 2/c 1'
_symmetry_Int_Tables_number 15
_cell_length_a 10.409
_cell_length_b 10.442
_cell_length_c 5.409
_cell_angle_alpha 90.00
_cell_angle_beta 99.99
_cell_angle_gamma 90.00
loop_
_symmetry_equiv_pos_as_xyz
'x,y,z'
'-x,-y,-z'
'-x,y,-z+1/2'
'x,-y,z+1/2'
'x+1/2,y+1/2,z'
'-x+1/2,-y+1/2,-z'
'-x+1/2,y+1/2,-z+1/2'
'x+1/2,-y+1/2,z+1/2'
loop_
_atom_site_label
_atom_site_type_symbol
_atom_site_fract_x
_atom_site_fract_y
_atom_site_fract_z
_atom_site_occupancy
Mn1 Mn 0.000 0.213 0.250 1
Ge1 Ge 0.203 0.088 0.766 1
Pb1 Pb 0.000 0.390 0.750 1
O1 O 0.106 0.208 0.608 1
O2 O 0.129 0.381 0.187 1
O3 O 0.160 0.058 0.077 1
```

Most intense lines, 2θ from 10° to 90°, low angle first:
- 2θ = 12.10°, rel. 55, (1 1 0)
- 2θ = 17.30°, rel. 21, (2 0 0)
- 2θ = 19.36°, rel. 22, (1 1 -1)
- 2θ = 27.46°, rel. 64, (3 1 0)
- 2θ = 27.83°, rel. 100, (2 2 -1)
- 2θ = 31.10°, rel. 56, (1 3 -1)
- 2θ = 31.33°, rel. 73, (2 2 1)
- 2θ = 33.65°, rel. 46, (0 0 2)
- 2θ = 34.36°, rel. 25, (0 4 0)
- 2θ = 51.25°, rel. 23, (3 5 0)



Record 5
PmMnGeO5: computed X-ray powder pattern (Cu Kα, 1.54184 Å), based on DFT lattice parameters and positions (PBE+U).

```
data_PmMnGeO5
_symmetry_space_group_name_H-M 'C 1 2/c 1'
_symmetry_Int_Tables_number 15
_cell_length_a 6.357
_cell_length_b 9.058
_cell_length_c 8.289
_cell_angle_alpha 90.00
_cell_angle_beta 107.28
_cell_angle_gamma 90.00
loop_
_symmetry_equiv_pos_as_xyz
'x,y,z'
'-x,-y,-z'
'-x,y,-z+1/2'
'x,-y,z+1/2'
'x+1/2,y+1/2,z'
'-x+1/2,-y+1/2,-z'
'-x+1/2,y+1/2,-z+1/2'
'x+1/2,-y+1/2,z+1/2'
loop_
_atom_site_label
_atom_site_type_symbol
_atom_site_fract_x
_atom_site_fract_y
_atom_site_fract_z
_atom_site_occupancy
Pm1 Pm 0.000 0.000 0.000 1
Mn1 Mn 0.000 0.337 0.250 1
Ge1 Ge 0.000 0.316 0.750 1
O1 O 0.000 0.133 0.250 1
O2 O 0.129 0.436 0.914 1
O3 O 0.178 0.177 0.700 1
```

Most intense lines, 2θ from 10° to 90°, low angle first:
- 2θ = 17.59°, rel. 35, (1 1 0)
- 2θ = 24.94°, rel. 100, (1 1 -2)
- 2θ = 29.43°, rel. 57, (2 0 0)
- 2θ = 29.99°, rel. 93, (0 2 2)
- 2θ = 32.01°, rel. 28, (1 1 2)
- 2θ = 33.14°, rel. 63, (1 3 0)
- 2θ = 37.26°, rel. 28, (2 2 -2)
- 2θ = 44.95°, rel. 32, (3 1 -2)
- 2θ = 47.29°, rel. 24, (2 2 2)
- 2θ = 53.66°, rel. 24, (1 3 -4)



Record 6
MnGeRuO6: computed X-ray powder pattern (Cu Kα, 1.54184 Å), based on DFT lattice parameters and positions (PBE+U).

```
data_MnGeRuO6
_symmetry_space_group_name_H-M 'P 42 n m'
_symmetry_Int_Tables_number 102
_cell_length_a 4.500
_cell_length_b 4.500
_cell_length_c 9.247
_cell_angle_alpha 90.00
_cell_angle_beta 90.00
_cell_angle_gamma 90.00
loop_
_symmetry_equiv_pos_as_xyz
'x,y,z'
'-y+1/2,x+1/2,z+1/2'
'-x,-y,z'
'y+1/2,-x+1/2,z+1/2'
'-x+1/2,y+1/2,z+1/2'
'y,x,z'
'x+1/2,-y+1/2,z+1/2'
'-y,-x,z'
loop_
_atom_site_label
_atom_site_type_symbol
_atom_site_fract_x
_atom_site_fract_y
_atom_site_fract_z
_atom_site_occupancy
Mn1 Mn 0.000 0.000 0.000 1
Ge1 Ge 0.000 0.000 0.335 1
Ru1 Ru 0.000 0.000 0.668 1
O1 O 0.193 0.193 0.498 1
O2 O 0.200 0.200 0.175 1
O3 O 0.204 0.204 0.831 1
```

Most intense lines, 2θ from 10° to 90°, low angle first:
- 2θ = 21.97°, rel. 11, (1 0 1)
- 2θ = 28.04°, rel. 100, (1 1 0)
- 2θ = 35.30°, rel. 74, (1 0 3)
- 2θ = 40.07°, rel. 15, (2 0 0)
- 2θ = 54.45°, rel. 65, (2 1 3)
- 2θ = 57.96°, rel. 17, (2 2 0)
- 2θ = 65.60°, rel. 13, (3 1 0)
- 2θ = 67.53°, rel. 15, (1 1 6)
- 2θ = 69.72°, rel. 20, (3 0 3)
- 2θ = 83.58°, rel. 10, (3 2 3)



Record 7
Sr3MnGe2O8: computed X-ray powder pattern (Cu Kα, 1.54184 Å), based on DFT lattice parameters and positions (PBE+U).

```
data_Sr3MnGe2O8
_symmetry_space_group_name_H-M 'P -3 m 1'
_symmetry_Int_Tables_number 164
_symmetry_space_group_name_Hall '-P 3 2"'
_cell_length_a 5.7207
_cell_length_b 5.7207
_cell_length_c 7.1716
_cell_angle_alpha 90.00
_cell_angle_beta 90.00
_cell_angle_gamma 120.00
loop_
_atom_site_label
_atom_site_type_symbol
_atom_site_fract_x
_atom_site_fract_y
_atom_site_fract_z
_atom_site_occupancy
Sr1 Sr 0.0000 0.0000 0.0000 1
Sr2 Sr 0.3333 0.6667 0.6474 1
Mn1 Mn 0.0000 0.0000 0.5000 1
Ge1 Ge 0.3333 0.6667 0.2072 1
O1 O 0.1693 0.3385 0.3098 1
O2 O 0.3333 0.6667 0.9670 1
```

Most intense lines, 2θ from 10° to 90°, low angle first:
- 2θ = 30.78°, rel. 71, (0 1 2)
- 2θ = 31.27°, rel. 100, (1 1 0)
- 2θ = 41.96°, rel. 12, (1 0 3)
- 2θ = 44.45°, rel. 44, (2 0 2)
- 2θ = 54.42°, rel. 12, (1 0 4)
- 2θ = 55.35°, rel. 27, (1 2 2)
- 2θ = 55.66°, rel. 19, (3 0 0)
- 2θ = 64.12°, rel. 12, (0 2 4)
- 2θ = 65.24°, rel. 17, (2 2 0)
- 2θ = 73.87°, rel. 16, (3 1 2)



Record 8
MnV2GeO6: computed X-ray powder pattern (Cu Kα, 1.54184 Å), based on DFT lattice parameters and positions (PBE+U).

```
data_MnV2GeO6
_symmetry_space_group_name_H-M 'P 1'
_symmetry_Int_Tables_number 1
_cell_length_a 5.155
_cell_length_b 5.162
_cell_length_c 5.528
_cell_angle_alpha 90.64
_cell_angle_beta 117.49
_cell_angle_gamma 119.29
loop_
_symmetry_equiv_pos_as_xyz
'x,y,z'
loop_
_atom_site_label
_atom_site_type_symbol
_atom_site_fract_x
_atom_site_fract_y
_atom_site_fract_z
_atom_site_occupancy
Mn1 Mn 0.000 0.000 0.000 1
V1 V 0.561 0.285 0.843 1
V2 V 0.574 0.796 0.364 1
Ge1 Ge 0.968 0.486 0.451 1
O1 O 0.068 0.408 0.163 1
O2 O 0.076 0.214 0.638 1
O3 O 0.427 0.864 0.635 1
O4 O 0.503 0.093 0.165 1
O5 O 0.752 0.664 0.165 1
O6 O 0.772 0.567 0.637 1
```

Most intense lines, 2θ from 10° to 90°, low angle first:
- 2θ = 23.46°, rel. 41, (1 0 0)
- 2θ = 23.77°, rel. 23, (-1 1 1)
- 2θ = 32.40°, rel. 100, (1 -1 1)
- 2θ = 32.54°, rel. 49, (1 0 -2)
- 2θ = 34.40°, rel. 43, (1 1 -1)
- 2θ = 34.79°, rel. 81, (-2 1 1)
- 2θ = 48.05°, rel. 21, (0 2 -2)
- 2θ = 52.73°, rel. 40, (1 -2 2)
- 2θ = 60.83°, rel. 26, (2 -3 1)
- 2θ = 61.87°, rel. 37, (0 3 -1)



Record 9
MnZnGeO4: computed X-ray powder pattern (Cu Kα, 1.54184 Å), based on DFT lattice parameters and positions (PBE+U).

```
data_MnZnGeO4
_symmetry_space_group_name_H-M 'P n m a'
_symmetry_Int_Tables_number 62
_cell_length_a 10.869
_cell_length_b 6.268
_cell_length_c 5.035
_cell_angle_alpha 90.00
_cell_angle_beta 90.00
_cell_angle_gamma 90.00
loop_
_symmetry_equiv_pos_as_xyz
'x,y,z'
'-x,-y,-z'
'-x+1/2,-y,z+1/2'
'x+1/2,y,-z+1/2'
'x+1/2,-y+1/2,-z+1/2'
'-x+1/2,y+1/2,z+1/2'
'-x,y+1/2,-z'
'x,-y+1/2,z'
loop_
_atom_site_label
_atom_site_type_symbol
_atom_site_fract_x
_atom_site_fract_y
_atom_site_fract_z
_atom_site_occupancy
Mn1 Mn 0.224 0.250 0.009 1
Zn1 Zn 0.000 0.000 0.500 1
Ge1 Ge 0.091 0.750 0.069 1
O1 O 0.057 0.250 0.765 1
O2 O 0.090 0.750 0.719 1
O3 O 0.160 0.526 0.230 1
```

Most intense lines, 2θ from 10° to 90°, low angle first:
- 2θ = 16.31°, rel. 26, (2 0 0)
- 2θ = 21.64°, rel. 33, (2 1 0)
- 2θ = 30.40°, rel. 49, (3 0 1)
- 2θ = 33.66°, rel. 75, (3 1 1)
- 2θ = 34.71°, rel. 100, (1 2 1)
- 2θ = 35.66°, rel. 16, (0 0 2)
- 2θ = 36.03°, rel. 17, (4 1 0)
- 2θ = 49.36°, rel. 45, (2 2 2)
- 2θ = 53.82°, rel. 19, (3 3 1)
- 2θ = 58.90°, rel. 45, (0 4 0)